# Ti6PdC4
Calculated powder diffraction line list, Cu Kα (weighted mean of Kα1 and Kα2). Input: a GGA-PBE-relaxed structure.

Atomic structure:
Cell: 3.1050 10.3819 16.5299 Å, 90.00 90.00 90.00°
Space group Cmcm (No. 63)
Unique sites:
Ti1 0.0000 0.0000 0.0000 x4
Ti2 0.0000 0.1474 0.2500 x4
Ti3 0.0000 0.2751 0.5764 x8
Ti4 0.0000 0.4631 0.1470 x8
Pd1 0.0000 0.1621 0.7500 x4
C1 0.0000 0.0918 0.1216 x8
C2 0.0000 0.3612 0.0393 x8

Largest 10 diffraction maxima, low angle first, 10 to 90 degrees two-theta:
| d/Å | I_rel |
| --- | --- |
| 8.265 | 27 |
| 4.952 | 23 |
| 2.476 | 27 |
| 2.433 | 65 |
| 2.414 | 70 |
| 2.289 | 20 |
| 2.226 | 100 |
| 2.211 | 25 |
| 1.552 | 20 |
| 1.344 | 18 |

# Sr2BiAu2
Calculated powder diffraction line list, Cu Kα (weighted mean of Kα1 and Kα2). Input: a GGA-PBE-relaxed structure.

Atomic structure:
Cell: 4.7739 15.6586 3.9067 Å, 90.00 90.00 90.00°
Space group Cmmm (No. 65)
Unique sites:
Sr1 0.0000 0.1288 0.0000 x4
Bi1 0.0000 0.5000 0.5000 x2
Au1 0.0000 0.2991 0.5000 x4

Largest 10 diffraction maxima, low angle first, 10 to 90 degrees two-theta:
| d/Å | I_rel |
| --- | --- |
| 4.566 | 26 |
| 3.908 | 45 |
| 2.969 | 90 |
| 2.765 | 49 |
| 2.618 | 100 |
| 2.387 | 38 |
| 2.175 | 47 |
| 1.953 | 21 |
| 1.807 | 28 |
| 1.566 | 44 |

# Tb3Pu2N4
Calculated powder diffraction line list, Cu Kα (weighted mean of Kα1 and Kα2). Input: a GGA-PBE-relaxed structure.

Atomic structure:
Cell: 11.6122 3.4513 8.6191 Å, 90.00 118.87 90.00°
Space group C2/m (No. 12)
Unique sites:
Tb1 0.0000 0.0000 0.0000 x2
Tb2 0.2072 0.0000 0.8120 x4
Pu1 0.1011 0.5000 0.3926 x4
N1 0.1039 0.5000 0.9017 x4
N2 0.1939 0.0000 0.3061 x4

Largest 10 diffraction maxima, low angle first, 10 to 90 degrees two-theta:
| d/Å | I_rel |
| --- | --- |
| 2.873 | 50 |
| 2.864 | 51 |
| 2.843 | 100 |
| 2.506 | 44 |
| 2.457 | 84 |
| 1.756 | 30 |
| 1.752 | 30 |
| 1.504 | 22 |
| 1.488 | 15 |
| 1.479 | 29 |

# Sm4Ho4Tm3
Calculated powder diffraction line list, Cu Kα (weighted mean of Kα1 and Kα2). Input: a GGA-PBE-relaxed structure.

Atomic structure:
Cell: 3.5831 5.6332 17.6676 Å, 99.14 90.01 90.00°
Space group P-1 (No. 2)
Unique sites:
Sm1 0.0008 0.2802 0.0608 x2
Sm2 0.0014 0.9028 0.3064 x2
Ho1 0.0012 0.4551 0.4111 x2
Ho2 0.4996 0.1890 0.8773 x2
Tm1 0.4982 0.6306 0.7605 x2
Tm2 0.5000 0.0000 0.5000 x1

Largest 10 diffraction maxima, low angle first, 10 to 90 degrees two-theta:
| d/Å | I_rel |
| --- | --- |
| 3.050 | 31 |
| 2.817 | 50 |
| 2.774 | 100 |
| 2.764 | 84 |
| 2.069 | 21 |
| 1.863 | 20 |
| 1.617 | 28 |
| 1.554 | 23 |
| 1.512 | 15 |
| 1.503 | 26 |

# Ho3TmPb2
Calculated powder diffraction line list, Cu Kα (weighted mean of Kα1 and Kα2). Input: a GGA-PBE-relaxed structure.

Atomic structure:
Cell: 6.4324 16.9499 6.4311 Å, 90.00 90.00 90.00°
Space group Ibam (No. 72)
Unique sites:
Ho1 0.0000 0.0000 0.2500 x4
Ho2 0.2500 0.1702 0.0000 x8
Tm1 0.0000 0.5000 0.2500 x4
Pb1 0.2493 0.3577 0.0000 x8

Largest 10 diffraction maxima, low angle first, 10 to 90 degrees two-theta:
| d/Å | I_rel |
| --- | --- |
| 3.216 | 21 |
| 3.007 | 77 |
| 2.825 | 38 |
| 2.562 | 100 |
| 2.274 | 58 |
| 1.771 | 39 |
| 1.608 | 20 |
| 1.499 | 17 |
| 1.397 | 18 |
| 1.362 | 29 |